Structure and computed powder diffractogram of SrAc2SiN4 (a crystal structure in Alexandria, relaxed with GGA-PBE; Cu Kα (λ = 1.5418 Å)).

Structure:
```
SrAc2SiN4
1.0
1.814 -6.537 0.000
1.814 6.537 0.000
0.000 0.000 12.621
Sr Ac Si N
2 4 2 8
direct
0.113 0.887 0.750
0.887 0.113 0.250
0.370 0.630 0.543
0.370 0.630 0.957
0.630 0.370 0.043
0.630 0.370 0.457
0.197 0.803 0.250
0.803 0.197 0.750
0.000 0.000 0.000
0.000 0.000 0.500
0.269 0.731 0.135
0.269 0.731 0.365
0.374 0.626 0.750
0.626 0.374 0.250
0.731 0.269 0.635
0.731 0.269 0.865
```

Largest 10 diffraction maxima, low angle first, 2θ from 10° to 80°:
2θ/deg	Rel. int.
14.03	87.5
25.17	100.0
25.48	35.1
27.28	71.9
29.20	97.9
30.81	32.6
32.10	37.0
35.19	84.5
38.22	36.0
44.26	47.3